No. 1
# Mg6NbCd
Theoretical PXRD pattern, Cu Kα (λ = 1.5418 Å). Input: the GGA-PBE geometry in the Materials Project.
Intensities are scaled so that the largest is 100.

Lattice parameters (Å, degrees): 4.944 6.300 6.300 59.97 90.00 90.00
Atoms (fractional coordinates):
1 Mg 0.000 0.000 0.000
2 Mg 0.000 0.506 0.988
3 Mg 0.000 0.988 0.506
4 Mg 0.500 0.166 0.663
5 Mg 0.500 0.168 0.168
6 Mg 0.500 0.663 0.166
7 Nb 0.500 0.667 0.667
8 Cd 0.000 0.507 0.507

The 12 most intense peaks (2θ = 10–90°), by intensity:
d (Å)	Position (°2θ)	Rel. int.
2.388	37.66	100
5.454	16.25	66
3.664	24.29	31
2.472	36.34	25
2.727	32.84	25
2.657	33.74	23
1.328	70.96	19
1.411	66.26	18
1.575	58.62	17
1.832	49.78	15
1.315	71.81	14
2.252	40.04	14

No. 2
# Nd2MgCd
Theoretical PXRD pattern, Cu Kα (λ = 1.5418 Å). Input: the GGA-PBE geometry in the Materials Project.
Intensities are scaled so that the largest is 100.

Lattice parameters (Å, degrees): 5.470 5.470 5.470 60.00 60.00 60.00
Atoms (fractional coordinates):
1 Nd 0.250 0.250 0.250
2 Nd 0.750 0.750 0.750
3 Mg 0.000 0.000 0.000
4 Cd 0.500 0.500 0.500

The 12 most intense peaks (2θ = 10–90°), by intensity:
d (Å)	Position (°2θ)	Rel. int.
2.735	32.75	100
1.579	58.45	37
1.934	46.99	18
1.223	78.15	16
3.868	22.99	14
1.367	68.63	11
4.466	19.88	10
1.730	52.94	6
2.332	38.60	5
2.233	40.39	4
1.117	87.33	4
1.289	73.45	3

No. 3
# Mg6CdNi
Theoretical PXRD pattern, Cu Kα (λ = 1.5418 Å). Input: the GGA-PBE geometry in the Materials Project.
Intensities are scaled so that the largest is 100.

Lattice parameters (Å, degrees): 4.906 6.149 6.149 59.91 90.00 90.00
Atoms (fractional coordinates):
1 Mg 0.000 0.000 0.000
2 Mg 0.000 0.506 0.980
3 Mg 0.000 0.980 0.506
4 Mg 0.500 0.166 0.166
5 Mg 0.500 0.167 0.667
6 Mg 0.500 0.667 0.167
7 Cd 0.000 0.502 0.502
8 Ni 0.500 0.675 0.675

The 12 most intense peaks (2θ = 10–90°), by intensity:
d (Å)	Position (°2θ)	Rel. int.
2.339	38.48	100
5.322	16.66	50
3.608	24.67	33
2.662	33.67	26
2.453	36.63	26
2.605	34.43	19
1.302	72.60	18
1.393	67.18	18
1.537	60.23	16
1.804	50.60	16
2.228	40.49	11
1.861	48.93	10

No. 4
# Mg6CdNi
Theoretical PXRD pattern, Cu Kα (λ = 1.5418 Å). Input: the GGA-PBE geometry in the Materials Project.
Intensities are scaled so that the largest is 100.

Lattice parameters (Å, degrees): 4.849 6.124 6.124 60.81 90.00 90.00
Atoms (fractional coordinates):
1 Mg 0.000 0.000 0.000
2 Mg 0.000 0.000 0.475
3 Mg 0.000 0.475 0.000
4 Mg 0.000 0.492 0.492
5 Mg 0.500 0.159 0.661
6 Mg 0.500 0.661 0.159
7 Cd 0.500 0.659 0.659
8 Ni 0.500 0.158 0.158

The 12 most intense peaks (2θ = 10–90°), by intensity:
d (Å)	Position (°2θ)	Rel. int.
2.341	38.45	100
2.319	38.83	48
5.282	16.78	40
2.425	37.08	35
2.673	33.52	34
4.849	18.29	31
3.572	24.93	27
1.796	50.84	20
1.383	67.74	17
1.295	73.10	17
2.641	33.94	17
1.531	60.47	16

No. 5
# Mg3CdO4
Theoretical PXRD pattern, Cu Kα (λ = 1.5418 Å). Input: the GGA-PBE geometry in the Materials Project.
Intensities are scaled so that the largest is 100.

Lattice parameters (Å, degrees): 4.447 4.447 4.447 90.00 90.00 90.00
Atoms (fractional coordinates):
1 Mg 0.000 0.000 0.500
2 Mg 0.000 0.500 0.000
3 Mg 0.500 0.000 0.000
4 Cd 0.500 0.500 0.500
5 O 0.000 0.000 0.000
6 O 0.000 0.500 0.500
7 O 0.500 0.000 0.500
8 O 0.500 0.500 0.000

The 12 most intense peaks (2θ = 10–90°), by intensity:
d (Å)	Position (°2θ)	Rel. int.
2.223	40.58	100
4.447	19.97	75
3.144	28.39	64
1.572	58.73	60
2.567	34.95	49
1.989	45.62	34
1.815	50.26	25
1.341	70.20	22
1.284	73.82	19
1.482	62.68	16
1.188	80.89	12
1.406	66.49	11

No. 6
# Mg14CdSiO16
Theoretical PXRD pattern, Cu Kα (λ = 1.5418 Å). Input: the GGA-PBE geometry in the Materials Project.
Intensities are scaled so that the largest is 100.

Lattice parameters (Å, degrees): 4.344 8.611 8.691 90.00 90.00 90.00
Atoms (fractional coordinates):
1 Mg 0.000 0.000 0.000
2 Mg 0.000 0.249 0.245
3 Mg 0.000 0.249 0.755
4 Mg 0.000 0.500 0.000
5 Mg 0.000 0.751 0.245
6 Mg 0.000 0.751 0.755
7 Mg 0.500 0.000 0.247
8 Mg 0.500 0.000 0.753
9 Mg 0.500 0.247 0.500
10 Mg 0.500 0.250 0.000
11 Mg 0.500 0.500 0.245
12 Mg 0.500 0.500 0.755
13 Mg 0.500 0.750 0.000
14 Mg 0.500 0.753 0.500
15 Cd 0.000 0.500 0.500
16 Si 0.000 0.000 0.500
17 O 0.000 0.000 0.236
18 O 0.000 0.000 0.764
19 O 0.000 0.239 0.500
20 O 0.000 0.249 0.000
21 O 0.000 0.500 0.234
22 O 0.000 0.500 0.766
23 O 0.000 0.751 0.000
24 O 0.000 0.761 0.500
25 O 0.500 0.000 0.000
26 O 0.500 0.000 0.500
27 O 0.500 0.250 0.251
28 O 0.500 0.250 0.749
29 O 0.500 0.500 0.000
30 O 0.500 0.500 0.500
31 O 0.500 0.750 0.251
32 O 0.500 0.750 0.749

The 12 most intense peaks (2θ = 10–90°), by intensity:
d (Å)	Position (°2θ)	Rel. int.
2.172	41.57	100
1.529	60.55	56
2.153	41.97	49
8.652	10.22	32
2.501	35.91	31
1.536	60.24	29
1.250	76.13	26
3.881	22.91	18
6.117	14.48	15
1.309	72.17	12
4.345	20.44	10
3.542	25.14	10

No. 7
# Mg14CdSiO16
Theoretical PXRD pattern, Cu Kα (λ = 1.5418 Å). Input: the GGA-PBE geometry in the Materials Project.
Intensities are scaled so that the largest is 100.

Lattice parameters (Å, degrees): 8.660 8.660 4.343 90.00 90.00 90.00
Atoms (fractional coordinates):
1 Mg 0.000 0.252 0.000
2 Mg 0.000 0.500 0.500
3 Mg 0.000 0.748 0.000
4 Mg 0.245 0.500 0.000
5 Mg 0.249 0.249 0.500
6 Mg 0.249 0.751 0.500
7 Mg 0.252 0.000 0.000
8 Mg 0.500 0.000 0.500
9 Mg 0.500 0.245 0.000
10 Mg 0.500 0.755 0.000
11 Mg 0.748 0.000 0.000
12 Mg 0.751 0.249 0.500
13 Mg 0.751 0.751 0.500
14 Mg 0.755 0.500 0.000
15 Cd 0.500 0.500 0.500
16 Si 0.000 0.000 0.500
17 O 0.000 0.000 0.000
18 O 0.000 0.258 0.500
19 O 0.000 0.500 0.000
20 O 0.000 0.742 0.500
21 O 0.236 0.500 0.500
22 O 0.250 0.250 0.000
23 O 0.250 0.750 0.000
24 O 0.258 0.000 0.500
25 O 0.500 0.000 0.000
26 O 0.500 0.236 0.500
27 O 0.500 0.500 0.000
28 O 0.500 0.764 0.500
29 O 0.742 0.000 0.500
30 O 0.750 0.250 0.000
31 O 0.750 0.750 0.000
32 O 0.764 0.500 0.500

The 12 most intense peaks (2θ = 10–90°), by intensity:
d (Å)	Position (°2θ)	Rel. int.
2.165	41.72	100
1.533	60.37	58
2.172	41.59	51
8.660	10.21	34
2.503	35.88	31
1.531	60.47	29
1.251	76.07	26
3.878	22.93	24
2.890	30.95	16
6.124	14.46	15
4.334	20.49	15
3.065	29.14	12

No. 8
# Mg6CdSnO8
Theoretical PXRD pattern, Cu Kα (λ = 1.5418 Å). Input: the GGA-PBE geometry in the Materials Project.
Intensities are scaled so that the largest is 100.

Lattice parameters (Å, degrees): 4.512 4.512 8.989 90.00 90.00 90.00
Atoms (fractional coordinates):
1 Mg 0.000 0.000 0.000
2 Mg 0.000 0.500 0.231
3 Mg 0.000 0.500 0.769
4 Mg 0.500 0.000 0.231
5 Mg 0.500 0.000 0.769
6 Mg 0.500 0.500 0.000
7 Cd 0.000 0.000 0.500
8 Sn 0.500 0.500 0.500
9 O 0.000 0.000 0.230
10 O 0.000 0.000 0.770
11 O 0.000 0.500 0.000
12 O 0.000 0.500 0.500
13 O 0.500 0.000 0.000
14 O 0.500 0.000 0.500
15 O 0.500 0.500 0.226
16 O 0.500 0.500 0.774

The 12 most intense peaks (2θ = 10–90°), by intensity:
d (Å)	Position (°2θ)	Rel. int.
2.256	39.96	100
2.602	34.47	74
3.007	29.71	58
1.592	57.92	57
2.247	40.12	46
4.495	19.75	40
2.186	41.30	39
3.191	27.96	33
1.595	57.79	31
1.301	72.68	27
2.996	29.82	25
1.360	69.06	24

No. 9
# Mg6CdSnO8
Theoretical PXRD pattern, Cu Kα (λ = 1.5418 Å). Input: the GGA-PBE geometry in the Materials Project.
Intensities are scaled so that the largest is 100.

Lattice parameters (Å, degrees): 4.518 4.518 9.037 90.00 90.00 90.00
Atoms (fractional coordinates):
1 Mg 0.000 0.000 0.000
2 Mg 0.000 0.000 0.500
3 Mg 0.000 0.500 0.243
4 Mg 0.000 0.500 0.757
5 Mg 0.500 0.000 0.243
6 Mg 0.500 0.000 0.757
7 Cd 0.500 0.500 0.000
8 Sn 0.500 0.500 0.500
9 O 0.000 0.000 0.251
10 O 0.000 0.000 0.749
11 O 0.000 0.500 0.000
12 O 0.000 0.500 0.500
13 O 0.500 0.000 0.000
14 O 0.500 0.000 0.500
15 O 0.500 0.500 0.248
16 O 0.500 0.500 0.752

The 12 most intense peaks (2θ = 10–90°), by intensity:
d (Å)	Position (°2θ)	Rel. int.
2.259	39.91	100
4.518	19.65	76
3.195	27.93	66
1.597	57.72	61
2.608	34.38	49
2.020	44.86	37
1.844	49.41	28
1.362	68.94	24
1.304	72.47	19
1.506	61.58	18
1.207	79.36	15
1.429	65.31	12

No. 10
# MgCd4Tc4O12
Theoretical PXRD pattern, Cu Kα (λ = 1.5418 Å). Input: the GGA-PBE geometry in the Materials Project.
Intensities are scaled so that the largest is 100.

Lattice parameters (Å, degrees): 5.564 5.644 8.076 95.30 90.39 90.59
Atoms (fractional coordinates):
1 Mg 0.000 0.000 0.000
2 Cd 0.364 0.382 0.628
3 Cd 0.406 0.290 0.119
4 Cd 0.862 0.696 0.195
5 Cd 0.891 0.888 0.624
6 Tc 0.374 0.824 0.384
7 Tc 0.399 0.837 0.869
8 Tc 0.873 0.381 0.869
9 Tc 0.880 0.302 0.392
10 O 0.074 0.674 0.825
11 O 0.082 0.615 0.441
12 O 0.169 0.111 0.443
13 O 0.177 0.158 0.818
14 O 0.259 0.857 0.132
15 O 0.493 0.805 0.623
16 O 0.572 0.503 0.333
17 O 0.583 0.566 0.940
18 O 0.673 0.008 0.332
19 O 0.677 0.068 0.922
20 O 0.763 0.320 0.630
21 O 0.995 0.316 0.138

The 12 most intense peaks (2θ = 10–90°), by intensity:
d (Å)	Position (°2θ)	Rel. int.
2.916	30.66	100
2.718	32.96	70
2.746	32.61	67
2.782	32.18	64
2.810	31.85	41
2.010	45.10	27
1.631	56.43	25
1.988	45.64	22
1.966	46.17	20
1.568	58.90	18
1.588	58.09	16
2.733	32.77	15

No. 11
# MgCd4Tc4O12
Theoretical PXRD pattern, Cu Kα (λ = 1.5418 Å). Input: the GGA-PBE geometry in the Materials Project.
Intensities are scaled so that the largest is 100.

Lattice parameters (Å, degrees): 5.597 5.662 7.993 89.59 87.58 88.32
Atoms (fractional coordinates):
1 Mg 0.000 0.000 0.000
2 Cd 0.317 0.297 0.471
3 Cd 0.419 0.262 0.979
4 Cd 0.681 0.695 0.956
5 Cd 0.804 0.797 0.472
6 Tc 0.318 0.786 0.714
7 Tc 0.347 0.787 0.235
8 Tc 0.847 0.297 0.714
9 Tc 0.859 0.305 0.243
10 O 0.038 0.592 0.671
11 O 0.059 0.587 0.304
12 O 0.140 0.094 0.775
13 O 0.181 0.111 0.189
14 O 0.256 0.716 0.978
15 O 0.393 0.890 0.475
16 O 0.536 0.490 0.674
17 O 0.541 0.479 0.263
18 O 0.634 0.996 0.777
19 O 0.689 0.977 0.174
20 O 0.836 0.345 0.983
21 O 0.885 0.189 0.480

The 12 most intense peaks (2θ = 10–90°), by intensity:
d (Å)	Position (°2θ)	Rel. int.
2.832	31.59	100
2.792	32.05	76
2.763	32.41	54
2.889	30.95	38
1.996	45.43	31
1.960	46.31	23
1.626	56.62	21
1.656	55.48	18
2.018	44.92	16
1.631	56.41	11
2.178	41.45	11
2.673	33.53	11